Pr2Ga4Cu3Pt: computed XRD peak list (copper Kα), based on a crystal structure in Alexandria, relaxed with GGA-PBE.

Top 6 peaks for 2θ = 15–90°, most intense first:
hkl, 2θ/deg, Rel. int.
1 1 2, 34.55, 100
2 0 0, 42.47, 53
1 0 3, 33.62, 48
2 1 3, 55.22, 23
3 1 2, 72.60, 23
1 0 5, 49.31, 20

Atomic structure:
Lattice parameters (Å, degrees): 4.2574 4.2574 10.2561 90.00 90.00 90.00
Space group P-4m2 (No. 115)
One atom of each set of equivalent atoms:
Pr: 0.0000 0.5000 0.2489
Ga: 0.0000 0.0000 0.0000
Ga: 0.0000 0.5000 0.6336
Ga: 0.5000 0.5000 0.0000
Cu: 0.0000 0.5000 0.8712
Cu: 0.5000 0.5000 0.5000
Pt: 0.0000 0.0000 0.5000

***

Nd7Tm5: computed XRD peak list (copper Kα), based on a crystal structure in Alexandria, relaxed with GGA-PBE.

Top 6 peaks for 2θ = 15–90°, most intense first:
hkl, 2θ/deg, Rel. int.
3 1 -1, 31.65, 100
0 2 0, 31.08, 56
1 1 4, 32.49, 43
1 1 -4, 28.91, 29
2 0 -5, 32.41, 21
3 3 -1, 55.65, 20

Atomic structure:
Lattice parameters (Å, degrees): 9.7371 5.7553 14.8165 90.00 103.28 90.00
Space group C2/m (No. 12)
One atom of each set of equivalent atoms:
Nd: 0.0000 0.0000 0.0000
Nd: 0.0511 0.5000 0.7130
Nd: 0.1866 0.0000 0.5827
Nd: 0.2335 0.5000 0.1704
Tm: 0.0000 0.5000 0.5000
Tm: 0.1161 0.0000 0.3011
Tm: 0.1439 0.5000 0.9414

***

Copy entry 2 word for word.
Nd7Tm5: computed XRD peak list (copper Kα), based on a crystal structure in Alexandria, relaxed with GGA-PBE.

Top 6 peaks for 2θ = 15–90°, most intense first:
hkl, 2θ/deg, Rel. int.
3 1 -1, 31.65, 100
0 2 0, 31.08, 56
1 1 4, 32.49, 43
1 1 -4, 28.91, 29
2 0 -5, 32.41, 21
3 3 -1, 55.65, 20

Atomic structure:
Lattice parameters (Å, degrees): 9.7371 5.7553 14.8165 90.00 103.28 90.00
Space group C2/m (No. 12)
One atom of each set of equivalent atoms:
Nd: 0.0000 0.0000 0.0000
Nd: 0.0511 0.5000 0.7130
Nd: 0.1866 0.0000 0.5827
Nd: 0.2335 0.5000 0.1704
Tm: 0.0000 0.5000 0.5000
Tm: 0.1161 0.0000 0.3011
Tm: 0.1439 0.5000 0.9414

***

What did the second record say?
Nd7Tm5: computed XRD peak list (copper Kα), based on a crystal structure in Alexandria, relaxed with GGA-PBE.

Top 6 peaks for 2θ = 15–90°, most intense first:
hkl, 2θ/deg, Rel. int.
3 1 -1, 31.65, 100
0 2 0, 31.08, 56
1 1 4, 32.49, 43
1 1 -4, 28.91, 29
2 0 -5, 32.41, 21
3 3 -1, 55.65, 20

Atomic structure:
Lattice parameters (Å, degrees): 9.7371 5.7553 14.8165 90.00 103.28 90.00
Space group C2/m (No. 12)
One atom of each set of equivalent atoms:
Nd: 0.0000 0.0000 0.0000
Nd: 0.0511 0.5000 0.7130
Nd: 0.1866 0.0000 0.5827
Nd: 0.2335 0.5000 0.1704
Tm: 0.0000 0.5000 0.5000
Tm: 0.1161 0.0000 0.3011
Tm: 0.1439 0.5000 0.9414